# 1
For La2PmCd2, DFT lattice parameters and positions (PBE) gives the computed powder diffractogram in this record (Cu Kα (weighted mean of Kα1 and Kα2)).

The 8 most intense peaks (2θ = 5–70°), in order of falling intensity:
- 2θ = 32.26°, I = 100.0, (0 2 0)
- 2θ = 30.91°, I = 16.2, (0 0 5)
- 2θ = 57.58°, I = 14.7, (1 3 -3)
- 2θ = 45.32°, I = 11.2, (0 2 5)
- 2θ = 58.34°, I = 8.2, (2 2 -1)
- 2θ = 47.18°, I = 7.8, (2 0 -1)
- 2θ = 55.83°, I = 7.0, (1 1 -8)
- 2θ = 34.99°, I = 7.0, (0 1 5)

Structural model:
Lattice parameters (Å, degrees): 3.8529 5.5421 14.5931 90.00 97.58 90.00
Space group P2_1/m (No. 11)
One atom of each set of equivalent atoms:
La1 0.0427 0.2500 0.0846 x2
La2 0.2329 0.2500 0.4687 x2
Pm1 0.1500 0.7500 0.2974 x2
Cd1 0.3618 0.7500 0.7233 x2
Cd2 0.4423 0.2500 0.8858 x2

# 2
For HfCo4Ge, DFT lattice parameters and positions (PBE) gives the computed powder diffractogram in this record (Cu Kα (weighted mean of Kα1 and Kα2)).

The 8 most intense peaks (2θ = 5–70°), in order of falling intensity:
- 2θ = 38.88°, I = 100.0, (2 1 1)
- 2θ = 46.33°, I = 94.3, (2 1 2)
- 2θ = 40.16°, I = 83.4, (1 1 2)
- 2θ = 36.11°, I = 53.4, (2 1 0)
- 2θ = 51.34°, I = 42.2, (0 2 0)
- 2θ = 42.60°, I = 34.9, (0 0 3)
- 2θ = 52.65°, I = 31.3, (4 0 0)
- 2θ = 30.90°, I = 26.3, (1 0 2)

Structural model:
Lattice parameters (Å, degrees): 6.9537 3.5593 6.3663 90.00 90.00 90.00
Space group Pmma (No. 51)
One atom of each set of equivalent atoms:
Hf1 0.2500 0.0000 0.1475 x2
Co1 0.0000 0.0000 0.5000 x2
Co2 0.0384 0.5000 0.8051 x4
Co3 0.2500 0.5000 0.4534 x2
Ge1 0.2500 0.0000 0.7280 x2

# 3
For KZn2InCl6, DFT lattice parameters and positions (PBE) gives the computed powder diffractogram in this record (Cu Kα (weighted mean of Kα1 and Kα2)).

The 8 most intense peaks (2θ = 5–70°), in order of falling intensity:
- 2θ = 21.40°, I = 100.0, (2 2 -1)
- 2θ = 23.84°, I = 79.2, (2 2 1)
- 2θ = 20.65°, I = 72.1, (3 1 0)
- 2θ = 26.04°, I = 54.3, (0 0 2)
- 2θ = 42.68°, I = 48.2, (5 3 1)
- 2θ = 23.99°, I = 41.2, (1 3 -1)
- 2θ = 41.89°, I = 30.4, (2 2 -3)
- 2θ = 33.87°, I = 30.2, (1 5 0)

Structural model:
Lattice parameters (Å, degrees): 13.7908 13.4972 6.9347 90.00 99.22 90.00
Space group C2/c (No. 15)
One atom of each set of equivalent atoms:
K1 0.0000 0.1940 0.2500 x4
Zn1 0.2114 0.0866 0.7722 x8
In1 0.0000 0.3990 0.7500 x4
Cl1 0.1235 0.4028 0.1816 x8
Cl2 0.1334 0.2251 0.6547 x8
Cl3 0.1521 0.0468 0.0655 x8

Repeat the second record exactly.
For HfCo4Ge, DFT lattice parameters and positions (PBE) gives the computed powder diffractogram in this record (Cu Kα (weighted mean of Kα1 and Kα2)).

The 8 most intense peaks (2θ = 5–70°), in order of falling intensity:
- 2θ = 38.88°, I = 100.0, (2 1 1)
- 2θ = 46.33°, I = 94.3, (2 1 2)
- 2θ = 40.16°, I = 83.4, (1 1 2)
- 2θ = 36.11°, I = 53.4, (2 1 0)
- 2θ = 51.34°, I = 42.2, (0 2 0)
- 2θ = 42.60°, I = 34.9, (0 0 3)
- 2θ = 52.65°, I = 31.3, (4 0 0)
- 2θ = 30.90°, I = 26.3, (1 0 2)

Structural model:
Lattice parameters (Å, degrees): 6.9537 3.5593 6.3663 90.00 90.00 90.00
Space group Pmma (No. 51)
One atom of each set of equivalent atoms:
Hf1 0.2500 0.0000 0.1475 x2
Co1 0.0000 0.0000 0.5000 x2
Co2 0.0384 0.5000 0.8051 x4
Co3 0.2500 0.5000 0.4534 x2
Ge1 0.2500 0.0000 0.7280 x2

What did the second record say?
For HfCo4Ge, DFT lattice parameters and positions (PBE) gives the computed powder diffractogram in this record (Cu Kα (weighted mean of Kα1 and Kα2)).

The 8 most intense peaks (2θ = 5–70°), in order of falling intensity:
- 2θ = 38.88°, I = 100.0, (2 1 1)
- 2θ = 46.33°, I = 94.3, (2 1 2)
- 2θ = 40.16°, I = 83.4, (1 1 2)
- 2θ = 36.11°, I = 53.4, (2 1 0)
- 2θ = 51.34°, I = 42.2, (0 2 0)
- 2θ = 42.60°, I = 34.9, (0 0 3)
- 2θ = 52.65°, I = 31.3, (4 0 0)
- 2θ = 30.90°, I = 26.3, (1 0 2)

Structural model:
Lattice parameters (Å, degrees): 6.9537 3.5593 6.3663 90.00 90.00 90.00
Space group Pmma (No. 51)
One atom of each set of equivalent atoms:
Hf1 0.2500 0.0000 0.1475 x2
Co1 0.0000 0.0000 0.5000 x2
Co2 0.0384 0.5000 0.8051 x4
Co3 0.2500 0.5000 0.4534 x2
Ge1 0.2500 0.0000 0.7280 x2